CaTb12Co6: computed X-ray powder pattern (λ = 1.5418 Å (Cu Kα)), based on a cell relaxed with GGA-PBE.
Intensities are scaled so that the largest is 100.

Structure:
```
data_CaTb12Co6
_chemical_formula_sum 'Ca2 Tb24 Co12'
_cell_length_a 9.8608
_cell_length_b 9.8608
_cell_length_c 9.8608
_cell_angle_alpha 90.00
_cell_angle_beta 90.00
_cell_angle_gamma 90.00
_symmetry_space_group_name_H-M 'I m -3'
_symmetry_Int_Tables_number 204
_symmetry_space_group_name_Hall '-I 2 2 3'
loop_
_atom_site_label
_atom_site_fract_x
_atom_site_fract_y
_atom_site_fract_z
_atom_site_occupancy
Ca1 0.0000 0.0000 0.0000 1
Tb1 0.0000 0.3121 0.1964 1
Co1 0.0000 0.1121 0.5000 1
```

Peak list (12 most intense, 2θ = 5–70°, low angle first)
2θ 12.70, intensity 17, hkl 1 1 0; 2θ 25.55, intensity 13, hkl 2 2 0; 2θ 28.63, intensity 54, hkl 3 0 1; 2θ 31.43, intensity 47, hkl 2 2 2; 2θ 34.02, intensity 100, hkl 3 1 2; 2θ 36.45, intensity 16, hkl 4 0 0; 2θ 43.02, intensity 13, hkl 3 3 2; 2θ 46.99, intensity 27, hkl 5 0 1; 2θ 54.24, intensity 38, hkl 5 3 0; 2θ 55.95, intensity 14, hkl 6 0 0; 2θ 57.62, intensity 38, hkl 5 2 3; 2θ 67.12, intensity 18, hkl 5 3 4

---

Dy3Mg7Tl2: computed X-ray powder pattern (λ = 1.5418 Å (Cu Kα)), based on a cell relaxed with GGA-PBE.
Intensities are scaled so that the largest is 100.

Structure:
```
data_Dy3Mg7Tl2
_chemical_formula_sum 'Dy9 Mg21 Tl6'
_cell_length_a 6.0595
_cell_length_b 6.0595
_cell_length_c 28.9649
_cell_angle_alpha 90.00
_cell_angle_beta 90.00
_cell_angle_gamma 120.00
_symmetry_space_group_name_H-M 'R -3 m'
_symmetry_Int_Tables_number 166
_symmetry_space_group_name_Hall '-R 3 2"'
loop_
_atom_site_label
_atom_site_fract_x
_atom_site_fract_y
_atom_site_fract_z
_atom_site_occupancy
Dy1 0.0000 0.0000 0.0000 1
Dy2 0.0000 0.0000 0.1447 1
Mg1 0.0000 0.0000 0.5000 1
Mg2 0.0059 0.5029 0.9156 1
Tl1 0.0000 0.0000 0.3345 1
```

Peak list (12 most intense, 2θ = 5–70°, low angle first)
2θ 9.16, intensity 27, hkl 0 0 3; 2θ 18.38, intensity 46, hkl 0 0 6; 2θ 20.91, intensity 19, hkl 1 0 4; 2θ 29.48, intensity 78, hkl 1 1 0; 2θ 30.93, intensity 11, hkl 1 1 3; 2θ 34.96, intensity 100, hkl 1 1 6; 2θ 40.91, intensity 16, hkl 1 1 9; 2θ 48.20, intensity 14, hkl 1 1 12; 2θ 52.30, intensity 16, hkl 3 0 0; 2θ 55.91, intensity 26, hkl 3 0 6; 2θ 56.51, intensity 17, hkl 1 1 15; 2θ 61.18, intensity 15, hkl 2 2 0

---

Pm3CuCl3: computed X-ray powder pattern (λ = 1.5418 Å (Cu Kα)), based on a cell relaxed with GGA-PBE.
Intensities are scaled so that the largest is 100.

Structure:
```
data_Pm3CuCl3
_chemical_formula_sum 'Pm24 Cu8 Cl24'
_cell_length_a 11.5277
_cell_length_b 11.5277
_cell_length_c 11.5277
_cell_angle_alpha 90.00
_cell_angle_beta 90.00
_cell_angle_gamma 90.00
_symmetry_space_group_name_H-M 'I 41 3 2'
_symmetry_Int_Tables_number 214
_symmetry_space_group_name_Hall 'I 4bd 2c 3'
loop_
_atom_site_label
_atom_site_fract_x
_atom_site_fract_y
_atom_site_fract_z
_atom_site_occupancy
Pm1 0.1187 0.3687 0.1250 1
Cu1 0.1250 0.1250 0.1250 1
Cl1 0.1198 0.1302 0.6250 1
```

Peak list (12 most intense, 2θ = 5–70°, low angle first)
2θ 10.85, intensity 58, hkl 1 1 0; 2θ 24.42, intensity 13, hkl 3 1 0; 2θ 26.79, intensity 34, hkl 2 2 2; 2θ 28.98, intensity 13, hkl 3 2 1; 2θ 31.03, intensity 100, hkl 4 0 0; 2θ 32.97, intensity 10, hkl 4 1 1; 2θ 39.88, intensity 14, hkl 5 1 0; 2θ 44.46, intensity 71, hkl 4 4 0; 2θ 51.37, intensity 7, hkl 5 4 1; 2θ 52.67, intensity 17, hkl 6 2 2; 2θ 55.20, intensity 24, hkl 4 4 4; 2θ 64.69, intensity 11, hkl 8 0 0

---

Ba6GaAg3: computed X-ray powder pattern (λ = 1.5418 Å (Cu Kα)), based on a cell relaxed with GGA-PBE.
Intensities are scaled so that the largest is 100.

Structure:
```
data_Ba6GaAg3
_chemical_formula_sum 'Ba12 Ga2 Ag6'
_cell_length_a 12.9075
_cell_length_b 4.7370
_cell_length_c 15.2494
_cell_angle_alpha 90.00
_cell_angle_beta 111.20
_cell_angle_gamma 90.00
_symmetry_space_group_name_H-M 'P 1 21/m 1'
_symmetry_Int_Tables_number 11
_symmetry_space_group_name_Hall '-P 2yb'
loop_
_atom_site_label
_atom_site_fract_x
_atom_site_fract_y
_atom_site_fract_z
_atom_site_occupancy
Ba1 0.0210 0.2500 0.3893 1
Ba2 0.0628 0.2500 0.9038 1
Ba3 0.2590 0.7500 0.3183 1
Ba4 0.3419 0.7500 0.7962 1
Ba5 0.3431 0.7500 0.1001 1
Ba6 0.3964 0.2500 0.5722 1
Ga1 0.4306 0.2500 0.2845 1
Ag1 0.1575 0.2500 0.1488 1
Ag2 0.1930 0.7500 0.5326 1
Ag3 0.4297 0.2500 0.9747 1
```

Peak list (12 most intense, 2θ = 5–70°, low angle first)
2θ 22.28, intensity 39, hkl 1 1 -2; 2θ 24.04, intensity 40, hkl 2 0 -4; 2θ 26.07, intensity 57, hkl 2 1 1; 2θ 28.65, intensity 49, hkl 1 0 4; 2θ 28.83, intensity 42, hkl 4 0 -3; 2θ 29.17, intensity 87, hkl 3 1 0; 2θ 29.47, intensity 100, hkl 2 1 2; 2θ 30.07, intensity 42, hkl 3 1 -3; 2θ 30.65, intensity 65, hkl 2 1 -4; 2θ 31.47, intensity 47, hkl 0 1 4; 2θ 37.99, intensity 77, hkl 0 2 0; 2θ 41.24, intensity 32, hkl 3 1 -6